Record 1
Er2Ga6Cu11: calculated PXRD pattern (Cu Ka), based on the PBE geometry in the Materials Project.
Peak positions follow from Bragg's law for the DFT cell and can differ from measured ones.

The 10 most intense peaks (2θ from 10° to 80°), low angle first:
| d [Å] | I/Imax |
| --- | --- |
| 3.025 | 32 |
| 2.524 | 40 |
| 2.418 | 29 |
| 2.186 | 64 |
| 2.162 | 100 |
| 2.095 | 48 |
| 1.938 | 27 |
| 1.513 | 18 |
| 1.262 | 19 |
| 1.222 | 19 |

Cell and atoms:
```
Er2Ga6Cu11
1.0
4.372 2.524 4.191
-4.372 2.524 4.191
0.000 -5.048 4.191
Er Ga Cu
2 6 11
Direct
0.161 0.161 0.161
0.839 0.839 0.839
0.156 0.156 0.646
0.156 0.646 0.156
0.354 0.844 0.844
0.646 0.156 0.156
0.844 0.354 0.844
0.844 0.844 0.354
0.000 0.500 0.500
0.204 0.500 0.796
0.204 0.796 0.500
0.400 0.400 0.400
0.500 0.000 0.500
0.500 0.204 0.796
0.500 0.500 0.000
0.500 0.796 0.204
0.600 0.600 0.600
0.796 0.204 0.500
0.796 0.500 0.204
```

---

Record 2
Er2CuGe2O8: calculated PXRD pattern (Cu Ka), based on the PBE geometry in the Materials Project.
Peak positions follow from Bragg's law for the DFT cell and can differ from measured ones.

The 10 most intense peaks (2θ from 10° to 80°), low angle first:
| d [Å] | I/Imax |
| --- | --- |
| 4.856 | 38 |
| 3.579 | 47 |
| 3.141 | 100 |
| 3.093 | 95 |
| 2.755 | 89 |
| 2.588 | 97 |
| 2.566 | 45 |
| 2.032 | 38 |
| 1.888 | 47 |
| 1.867 | 50 |

Cell and atoms:
```
Er2CuGe2O8
1.0
4.772 -7.492 0.000
4.772 7.492 0.000
-2.689 0.000 4.373
Er Cu Ge O
4 2 4 16
Direct
0.120 0.880 0.000
0.377 0.618 0.509
0.618 0.377 0.509
0.880 0.120 0.000
0.082 0.496 0.810
0.496 0.082 0.810
0.259 0.259 0.813
0.532 0.954 0.270
0.755 0.755 0.209
0.954 0.532 0.270
0.076 0.416 0.118
0.083 0.083 0.851
0.160 0.677 0.640
0.171 0.358 0.604
0.324 0.793 0.264
0.358 0.171 0.604
0.416 0.076 0.118
0.426 0.426 0.203
0.582 0.921 0.944
0.584 0.584 0.829
0.664 0.848 0.436
0.677 0.160 0.640
0.793 0.324 0.264
0.848 0.664 0.436
0.921 0.582 0.944
0.930 0.930 0.175
```

---

Record 3
Er3CuGeS7: calculated PXRD pattern (Cu Ka), based on the PBE geometry in the Materials Project.
Peak positions follow from Bragg's law for the DFT cell and can differ from measured ones.

The 10 most intense peaks (2θ from 10° to 80°), low angle first:
| d [Å] | I/Imax |
| --- | --- |
| 3.753 | 22 |
| 3.431 | 100 |
| 3.199 | 21 |
| 2.930 | 23 |
| 2.443 | 47 |
| 2.409 | 24 |
| 2.348 | 24 |
| 2.179 | 23 |
| 2.161 | 30 |
| 1.877 | 22 |

Cell and atoms:
```
Er3CuGeS7
1.0
9.774 0.000 0.000
-4.887 8.464 0.000
0.000 0.000 5.861
Er Cu Ge S
6 2 2 14
Direct
0.137 0.778 0.000
0.222 0.358 0.000
0.358 0.137 0.500
0.642 0.863 0.000
0.778 0.642 0.500
0.863 0.222 0.500
0.000 0.000 0.417
0.000 0.000 0.917
0.333 0.667 0.580
0.667 0.333 0.080
0.096 0.520 0.744
0.104 0.843 0.448
0.157 0.261 0.448
0.261 0.104 0.948
0.333 0.667 0.202
0.424 0.904 0.744
0.480 0.576 0.744
0.520 0.424 0.244
0.576 0.096 0.244
0.667 0.333 0.702
0.739 0.896 0.448
0.843 0.739 0.948
0.896 0.157 0.948
0.904 0.480 0.244
```

---

Record 4
ErInCu2: calculated PXRD pattern (Cu Ka), based on the PBE geometry in the Materials Project.
Peak positions follow from Bragg's law for the DFT cell and can differ from measured ones.

The 10 most intense peaks (2θ from 10° to 80°), low angle first:
| d [Å] | I/Imax |
| --- | --- |
| 3.808 | 3 |
| 3.298 | 15 |
| 2.332 | 100 |
| 1.989 | 2 |
| 1.904 | 4 |
| 1.649 | 17 |
| 1.513 | 1 |
| 1.475 | 6 |
| 1.346 | 33 |
| 1.269 | 1 |

Cell and atoms:
```
ErInCu2
1.0
6.595 0.000 0.000
0.000 6.595 0.000
0.000 0.000 6.595
Er In Cu
4 4 8
Direct
0.000 0.000 0.000
0.000 0.500 0.500
0.500 0.000 0.500
0.500 0.500 0.000
0.000 0.000 0.500
0.000 0.500 0.000
0.500 0.000 0.000
0.500 0.500 0.500
0.250 0.250 0.250
0.250 0.250 0.750
0.250 0.750 0.250
0.250 0.750 0.750
0.750 0.250 0.250
0.750 0.250 0.750
0.750 0.750 0.250
0.750 0.750 0.750
```